Starting from a PBE-relaxed structure, the powder X-ray diffraction pattern of RbHo3Mg4 was calculated for CuKα.
Lines closer than 0.1° are merged.

Largest 10 diffraction maxima, low angle first, 2θ = 15–90°:
23.73°, I 100
27.32°, I 36
27.54°, I 72
39.18°, I 56
39.34°, I 28
46.19°, I 18
46.46°, I 34
48.56°, I 30
62.24°, I 15
71.22°, I 19

Structure:
Lattice parameters (Å, degrees): 6.478 6.478 13.056 90.00 90.00 90.00
Space group I4/mmm (No. 139)
Asymmetric unit:
Rb 0.000 0.000 0.000
Ho 0.000 0.000 0.500
Ho 0.000 0.500 0.250
Mg 0.000 0.000 0.265
Mg 0.000 0.500 0.000